No. 1
Structure and simulated PXRD pattern of Lu2Zn17 (DFT lattice parameters and positions (PBE); Cu Kα).

Peak list (10 most intense, 10° ≤ 2θ ≤ 80°, by angle)
2θ/deg, I_rel
28.52, 30.3
34.85, 41.0
35.82, 23.6
40.46, 57.4
40.61, 100.0
41.08, 31.9
41.47, 20.1
45.63, 23.2
73.58, 18.7
74.54, 20.4

a = 6.769 Å, b = 6.769 Å, c = 6.769 Å
α = 82.41°, β = 82.41°, γ = 82.41°
Element x y z (fractional)
Lu 0.165 0.165 0.165
Lu 0.835 0.835 0.835
Zn 0.000 0.500 0.500
Zn 0.147 0.147 0.662
Zn 0.147 0.662 0.147
Zn 0.200 0.500 0.800
Zn 0.200 0.800 0.500
Zn 0.338 0.853 0.853
Zn 0.399 0.399 0.399
Zn 0.500 0.000 0.500
Zn 0.500 0.200 0.800
Zn 0.500 0.500 0.000
Zn 0.500 0.800 0.200
Zn 0.601 0.601 0.601
Zn 0.662 0.147 0.147
Zn 0.800 0.200 0.500
Zn 0.800 0.500 0.200
Zn 0.853 0.338 0.853
Zn 0.853 0.853 0.338

No. 2
Structure and simulated PXRD pattern of Lu6Zn23 (DFT lattice parameters and positions (PBE); Cu Kα).

Peak list (10 most intense, 10° ≤ 2θ ≤ 80°, by angle)
2θ/deg, I_rel
24.54, 16.4
31.02, 21.3
34.98, 31.6
37.18, 90.0
40.61, 100.0
43.20, 18.2
60.29, 14.9
62.74, 24.4
75.24, 18.3
78.78, 15.1

a = 8.886 Å, b = 8.886 Å, c = 8.886 Å
α = 60.00°, β = 60.00°, γ = 60.00°
Element x y z (fractional)
Lu 0.204 0.204 0.796
Lu 0.204 0.796 0.204
Lu 0.204 0.796 0.796
Lu 0.796 0.204 0.204
Lu 0.796 0.204 0.796
Lu 0.796 0.796 0.204
Zn 0.000 0.000 0.500
Zn 0.000 0.500 0.000
Zn 0.000 0.500 0.500
Zn 0.135 0.622 0.622
Zn 0.171 0.171 0.171
Zn 0.171 0.171 0.487
Zn 0.171 0.487 0.171
Zn 0.378 0.378 0.378
Zn 0.378 0.378 0.865
Zn 0.378 0.865 0.378
Zn 0.487 0.171 0.171
Zn 0.500 0.000 0.000
Zn 0.500 0.000 0.500
Zn 0.500 0.500 0.000
Zn 0.500 0.500 0.500
Zn 0.513 0.829 0.829
Zn 0.622 0.135 0.622
Zn 0.622 0.622 0.135
Zn 0.622 0.622 0.622
Zn 0.829 0.513 0.829
Zn 0.829 0.829 0.513
Zn 0.829 0.829 0.829
Zn 0.865 0.378 0.378

No. 3
Structure and simulated PXRD pattern of LuZr3 (DFT lattice parameters and positions (PBE); Cu Kα).

Peak list (10 most intense, 10° ≤ 2θ ≤ 80°, by angle)
2θ/deg, I_rel
23.04, 10.1
27.01, 4.2
31.28, 24.0
34.27, 25.1
35.79, 100.0
47.08, 15.2
55.68, 18.3
62.35, 19.4
67.03, 20.7
67.97, 14.8

a = 6.603 Å, b = 6.603 Å, c = 5.233 Å
α = 90.00°, β = 90.00°, γ = 120.00°
Element x y z (fractional)
Lu 0.333 0.667 0.250
Lu 0.667 0.333 0.750
Zr 0.164 0.328 0.750
Zr 0.164 0.836 0.750
Zr 0.328 0.164 0.250
Zr 0.672 0.836 0.750
Zr 0.836 0.164 0.250
Zr 0.836 0.672 0.250

No. 4
Structure and simulated PXRD pattern of LuZr (DFT lattice parameters and positions (PBE); Cu Kα).

Peak list (10 most intense, 10° ≤ 2θ ≤ 80°, by angle)
2θ/deg, I_rel
16.78, 11.0
30.57, 29.5
33.94, 23.6
35.08, 100.0
46.32, 19.0
54.34, 18.4
61.47, 19.6
65.63, 20.7
66.34, 15.6
74.12, 4.7

a = 3.377 Å, b = 3.377 Å, c = 5.283 Å
α = 90.00°, β = 90.00°, γ = 120.00°
Element x y z (fractional)
Lu 0.000 0.000 0.000
Zr 0.333 0.667 0.500